[1]
Calculated powder XRD pattern
Compound: Li2AlCuF6
Radiation: CuKα
Structure: a cell relaxed with GGA-PBE

Most intense lines, 2θ = 10–90°, sorted by position:
index	d/Å	two_theta	I_rel
2 0 0	3.974	22.4	100
2 2 0	2.810	31.8	23
3 1 1	2.397	37.5	14
4 0 0	1.987	45.7	39
3 3 1	1.824	50.0	11
4 2 0	1.777	51.4	33
4 2 2	1.623	56.7	8
4 4 0	1.405	66.5	20
6 0 0	1.325	71.2	13
6 4 0	1.102	88.8	7

Structure:
a = 7.9489 Å, b = 7.9489 Å, c = 7.9489 Å
α = 90.00°, β = 90.00°, γ = 90.00°
Space group Fm-3m (No. 225)
One atom of each set of equivalent atoms:
Li  0.2500  0.2500  0.2500 (multiplicity 8)
Al  0.0000  0.0000  0.0000 (multiplicity 4)
Cu  0.0000  0.0000  0.5000 (multiplicity 4)
F  0.0000  0.0000  0.2280 (multiplicity 24)

***

[2]
Calculated powder XRD pattern
Compound: AlCuO4F
Radiation: CuKα
Structure: a cell relaxed with GGA-PBE

Most intense lines, 2θ = 10–90°, sorted by position:
index	d/Å	two_theta	I_rel
2 0 -1	4.863	18.2	100
2 0 -2	3.949	22.5	28
0 0 3	3.492	25.5	53
2 0 2	3.407	26.2	82
2 0 -3	3.098	28.8	33
3 1 0	2.200	41.0	77
3 1 -2	2.101	43.1	43
0 0 5	2.095	43.2	25
3 1 -5	1.595	57.8	29
5 1 -3	1.577	58.5	26

Structure:
a = 10.2791 Å, b = 2.8913 Å, c = 10.5910 Å
α = 90.00°, β = 98.43°, γ = 90.00°
Space group C2/m (No. 12)
One atom of each set of equivalent atoms:
Al  0.0000  0.0000  0.0000 (multiplicity 2)
Al  0.0000  0.5000  0.5000 (multiplicity 2)
Cu  0.1731  0.0000  0.3055 (multiplicity 4)
O  0.0693  0.5000  0.3493 (multiplicity 4)
O  0.1202  0.0000  0.5582 (multiplicity 4)
O  0.1507  0.0000  0.1245 (multiplicity 4)
O  0.1871  0.0000  0.6874 (multiplicity 4)
F  0.0703  0.5000  0.9212 (multiplicity 4)

***

[3]
Calculated powder XRD pattern
Compound: Al2CuSi2O7F2
Radiation: CuKα
Structure: a cell relaxed with GGA-PBE

Most intense lines, 2θ = 10–90°, sorted by position:
index	d/Å	two_theta	I_rel
2 1 0	4.276	20.8	23
1 1 1	4.069	21.8	100
2 0 1	3.284	27.2	78
1 4 1	2.723	32.9	41
3 0 1	2.541	35.3	19
2 5 0	2.399	37.5	36
2 5 1	2.148	42.1	22
1 6 1	2.067	43.8	18
1 6 2	1.659	55.4	25
5 5 1	1.446	64.4	23

Structure:
a = 8.9685 Å, b = 14.1947 Å, c = 4.8231 Å
α = 90.00°, β = 90.00°, γ = 90.00°
Space group Pnma (No. 62)
One atom of each set of equivalent atoms:
Al  0.1311  0.0498  0.0959 (multiplicity 8)
Cu  0.1454  0.2500  0.1401 (multiplicity 4)
Si  0.0618  0.6464  0.4051 (multiplicity 8)
O  0.0141  0.5587  0.1985 (multiplicity 8)
O  0.0258  0.7500  0.2591 (multiplicity 4)
O  0.0348  0.1432  0.3054 (multiplicity 8)
O  0.2426  0.6461  0.4683 (multiplicity 8)
F  0.2461  0.5312  0.8944 (multiplicity 8)